This entry pairs a crystal structure of Na4AlCd2In with its simulated powder X-ray diffraction pattern. Radiation: Cu Kα. Structure: a DFT-relaxed cell (PBE, OQMD).

Principal peaks in the range 2θ = 15–90°, in order of rising 2θ:
d [Å]  2θ (°)  I/Imax  hkl
4.141  21.46  45  1 0 1
2.536  35.40  100  2 0 0
2.162  41.77  23  2 1 1
1.793  50.93  17  2 2 0
1.645  55.88  9  3 0 1
1.464  63.55  33  3 1 2
1.268  74.90  10  4 0 0
1.134  85.70  9  4 2 0

Structural model:
```
data_Na4AlCd2In
_chemical_formula_sum 'Na4 Al1 Cd2 In1'
_cell_length_a 5.0691
_cell_length_b 5.0691
_cell_length_c 7.1789
_cell_angle_alpha 90.00
_cell_angle_beta 90.00
_cell_angle_gamma 90.00
_space_group_name_H-M_alt 'P -4 m 2'
_space_group_IT_number 115
_space_group_name_Hall 'P -4 -2'
loop_
_atom_site_label
_atom_site_fract_x
_atom_site_fract_y
_atom_site_fract_z
Na1 0.0000 0.0000 0.0000
Na2 0.0000 0.5000 0.7445
Na3 0.5000 0.5000 0.5000
Al1 0.0000 0.0000 0.5000
Cd1 0.0000 0.5000 0.2650
In1 0.5000 0.5000 0.0000
```